[1]
Starting from a cell relaxed with PBE, the powder X-ray diffraction pattern of RbGaC was simulated for Cu Kα, 1.54184 Å.
No peak broadening, texture or thermal motion is included.

Atomic structure:
Unit cell a=6.5909 b=6.5909 c=6.5909 alpha=47.15 beta=47.15 gamma=47.15
Fractional coordinates of all 6 atoms:
1 Rb 0.1130 0.1130 0.1130
2 Rb 0.8870 0.8870 0.8870
3 Ga 0.3456 0.3456 0.3456
4 Ga 0.6544 0.6544 0.6544
5 C 0.4640 0.4640 0.4640
6 C 0.5360 0.5360 0.5360

Main lines, sorted by position (2θ from 10° to 90°):
two_theta, I_rel
28.22, 95
32.18, 35
34.01, 100
44.76, 27
57.38, 26
58.94, 29
60.87, 17
79.99, 12



[2]
Starting from a cell relaxed with PBE, the powder X-ray diffraction pattern of YGaRu2C was simulated for Cu Kα, 1.54184 Å.
No peak broadening, texture or thermal motion is included.

Atomic structure:
Unit cell a=5.8972 b=5.8972 c=7.3321 alpha=90.00 beta=90.00 gamma=141.17
Fractional coordinates of all 10 atoms:
1 Y 0.0456 0.9544 0.7500
2 Y 0.9544 0.0456 0.2500
3 Ga 0.2317 0.7683 0.2500
4 Ga 0.7683 0.2317 0.7500
5 Ru 0.3371 0.6629 0.5570
6 Ru 0.3371 0.6629 0.9430
7 Ru 0.6629 0.3371 0.0570
8 Ru 0.6629 0.3371 0.4430
9 C 0.5000 0.5000 0.0000
10 C 0.5000 0.5000 0.5000

Main lines, sorted by position (2θ from 10° to 90°):
two_theta, I_rel
33.26, 58
34.46, 100
35.50, 38
40.31, 24
40.72, 21
44.43, 40
46.32, 31
63.08, 21



[3]
Starting from a cell relaxed with PBE, the powder X-ray diffraction pattern of GaC3S was simulated for Cu Kα, 1.54184 Å.
No peak broadening, texture or thermal motion is included.

Atomic structure:
Unit cell a=3.6591 b=3.6591 c=3.6591 alpha=90.00 beta=90.00 gamma=90.00
Fractional coordinates of all 5 atoms:
1 Ga 0.0000 0.0000 0.0000
2 C 0.0000 0.5000 0.5000
3 C 0.5000 0.0000 0.5000
4 C 0.5000 0.5000 0.0000
5 S 0.5000 0.5000 0.5000

Main lines, sorted by position (2θ from 10° to 90°):
two_theta, I_rel
24.33, 9
34.67, 100
42.81, 20
49.84, 33
56.21, 6
62.14, 35
73.16, 19
83.56, 15



[4]
Starting from a cell relaxed with PBE, the powder X-ray diffraction pattern of GaSbC2S was simulated for Cu Kα, 1.54184 Å.
No peak broadening, texture or thermal motion is included.

Atomic structure:
Unit cell a=3.9023 b=3.9023 c=4.9277 alpha=90.00 beta=90.00 gamma=90.00
Fractional coordinates of all 5 atoms:
1 Ga 0.0000 0.0000 0.0000
2 Sb 0.5000 0.5000 0.0000
3 C 0.0000 0.5000 0.5000
4 C 0.5000 0.0000 0.5000
5 S 0.0000 0.0000 0.5000

Main lines, sorted by position (2θ from 10° to 90°):
two_theta, I_rel
18.00, 83
29.19, 39
32.45, 93
36.47, 49
37.35, 100
46.55, 47
49.60, 57
60.53, 41



[5]
Starting from a cell relaxed with PBE, the powder X-ray diffraction pattern of Ga2SbC was simulated for Cu Kα, 1.54184 Å.
No peak broadening, texture or thermal motion is included.

Atomic structure:
Unit cell a=6.4091 b=6.4091 c=6.4091 alpha=128.78 beta=128.78 gamma=75.36
Fractional coordinates of all 8 atoms:
1 Ga 0.0149 0.6250 0.8899
2 Ga 0.3750 0.2649 0.3899
3 Ga 0.7351 0.1250 0.1101
4 Ga 0.8750 0.9851 0.6101
5 Sb 0.2500 0.7500 0.5000
6 Sb 0.5000 0.5000 0.0000
7 C 0.0000 0.0000 0.0000
8 C 0.7500 0.2500 0.5000

Main lines, sorted by position (2θ from 10° to 90°):
two_theta, I_rel
28.79, 100
30.98, 42
37.36, 68
48.68, 36
50.21, 14
55.49, 18
59.57, 16
66.88, 15



[6]
Starting from a cell relaxed with PBE, the powder X-ray diffraction pattern of Sc4Ga2C was simulated for Cu Kα, 1.54184 Å.
No peak broadening, texture or thermal motion is included.

Atomic structure:
Unit cell a=7.5043 b=7.5043 c=7.5043 alpha=145.19 beta=145.19 gamma=50.06
Fractional coordinates of all 7 atoms:
1 Sc 0.0000 0.5000 0.5000
2 Sc 0.1667 0.1667 0.0000
3 Sc 0.5000 0.0000 0.5000
4 Sc 0.8333 0.8333 0.0000
5 Ga 0.3717 0.3717 0.0000
6 Ga 0.6283 0.6283 0.0000
7 C 0.0000 0.0000 0.0000

Main lines, sorted by position (2θ from 10° to 90°):
two_theta, I_rel
28.11, 41
31.09, 43
38.71, 30
38.81, 100
40.17, 70
57.01, 18
58.11, 22
72.08, 33